The following is a computed powder diffraction line list of Ac2YMo2N6. It was derived from a crystal structure in Alexandria, relaxed with GGA-PBE, using a wavelength of 1.5418 Å.

Atomic structure:
abc: 7.1414 7.1414 7.1414
angles: 48.76 48.76 48.76
Atoms (fractional coordinates):
Ac1 0.2052 0.2052 0.2052
Ac2 0.7948 0.7948 0.7948
Y1 0.0000 0.0000 0.0000
Mo1 0.3980 0.3980 0.3980
Mo2 0.6020 0.6020 0.6020
N1 0.2316 0.7429 0.7429
N2 0.2571 0.2571 0.7684
N3 0.2571 0.7684 0.2571
N4 0.7429 0.2316 0.7429
N5 0.7429 0.7429 0.2316
N6 0.7684 0.2571 0.2571

Top 10 peaks for 2θ = 10–90°, by angle:
2theta	Rel. int.
19.78	18.6
29.47	100.0
30.32	90.3
42.79	40.3
51.74	21.6
53.34	39.1
53.86	18.3
63.07	14.2
69.77	17.4
71.12	16.4